For AcSm7Er12, a cell relaxed with GGA-PBE gives the theoretical X-ray powder pattern in this record (Cu Kα (λ = 1.5418 Å)).
Neutral-atom scattering factors, no anomalous dispersion.

Most intense lines, 10 to 90 degrees two-theta, in order of rising 2θ:
| 2θ (°) | intensity |
| --- | --- |
| 27.4 | 77.4 |
| 31.8 | 100.0 |
| 45.5 | 73.6 |
| 54.0 | 35.0 |
| 56.6 | 25.6 |
| 75.4 | 32.3 |

```
data_AcSm7Er12
_chemical_formula_sum 'Ac2 Sm14 Er24'
_cell_length_a 11.2722
_cell_length_b 11.2722
_cell_length_c 11.2722
_cell_angle_alpha 90.00
_cell_angle_beta 90.00
_cell_angle_gamma 90.00
_symmetry_space_group_name_H-M 'I m -3 m'
_symmetry_Int_Tables_number 229
_symmetry_space_group_name_Hall '-I 4 2 3'
loop_
_atom_site_label
_atom_site_type_symbol
_atom_site_fract_x
_atom_site_fract_y
_atom_site_fract_z
_atom_site_occupancy
Ac1 Ac 0.0000 0.0000 0.0000 1
Sm1 Sm 0.0000 0.0000 0.5000 1
Sm2 Sm 0.2500 0.2500 0.2500 1
Er1 Er 0.0000 0.2563 0.2563 1
```